[1]
The following is a simulated powder XRD pattern of NaMnPCO7. It was derived from a structure optimized by DFT (PBE+U), using Cu Kα X-rays.
Intensities are scaled so that the largest is 100.

Principal peaks in the range 2θ = 5–70°, by intensity:
2θ/deg, Rel. int., index
9.66, 100, 0 0 1
28.58, 34, 2 -2 0
25.28, 27, 1 1 1
19.92, 23, 1 1 -2
16.98, 20, 1 -1 1
19.17, 20, 1 1 0
34.31, 19, 2 2 -2
17.39, 19, -1 1 1
22.17, 19, 0 2 -1
24.71, 13, 2 0 -2

Structure:
```
44
Lattice="8.142 0.000 0.000 -1.429 8.032 0.000 -2.918 -3.854 9.158" Properties=species:S:1:pos:R:3 pbc="T T T"
Na 0.000 0.000 0.000
Na -2.503 5.869 4.770
Na 3.336 4.030 0.008
Na 4.241 0.210 4.766
Mn -0.925 0.900 3.841
Mn 3.258 1.026 0.975
Mn 2.362 4.832 3.873
Mn 6.619 5.036 0.977
P 0.676 2.838 1.802
P 1.614 -0.933 3.012
P 4.016 6.832 1.828
P 4.947 3.100 3.014
C -0.692 1.161 6.232
C 0.019 -3.086 7.748
C 2.668 5.174 6.258
C 3.312 0.978 7.756
O -1.477 0.252 5.651
O -0.245 1.645 2.200
O -0.082 3.815 0.875
O -0.394 6.464 1.739
O -1.622 4.828 6.543
O 0.478 -0.420 3.947
O -1.980 4.198 8.689
O -0.109 1.900 5.309
O 1.779 2.292 0.845
O -0.529 1.280 7.444
O 1.242 3.494 3.059
O 0.944 6.128 3.942
O 2.567 0.232 2.617
O 0.819 -2.198 8.308
O 1.885 4.279 5.710
O 3.097 5.641 2.211
O 4.727 -0.175 0.926
O 4.330 2.497 1.744
O 3.080 0.875 6.552
O 3.894 3.670 4.000
O 2.754 0.222 8.695
O 4.683 -2.118 5.298
O 5.156 6.333 0.895
O 4.298 -2.703 7.458
O 5.996 -0.567 3.128
O 5.662 2.037 3.889
O 5.914 4.255 2.619
O 4.138 1.845 8.309
```

---

[2]
The following is a simulated powder XRD pattern of Na5Mn2P2C2O14. It was derived from a structure optimized by DFT (PBE+U), using Cu Kα X-rays.
Intensities are scaled so that the largest is 100.

Principal peaks in the range 2θ = 5–70°, by intensity:
2θ/deg, Rel. int., index
9.79, 100, 1 0 0
33.97, 72, 0 0 4
33.63, 62, 2 2 0
27.00, 53, 0 2 0
48.87, 35, 4 2 0
25.70, 34, 2 0 -2
33.41, 32, 1 2 -2
16.63, 32, 1 1 0
55.68, 28, 0 4 0
29.61, 18, 2 1 2

Structure:
```
50
Lattice="9.033 0.000 0.000 0.000 6.604 0.000 -0.221 0.000 10.555" Properties=species:S:1:pos:R:3 pbc="T T T"
Na 0.619 1.651 3.848
Na 2.164 6.602 1.242
Na 2.164 3.304 1.242
Na 2.154 0.048 6.702
Na 2.154 3.254 6.702
Na 6.659 3.349 3.853
Na 6.659 6.556 3.853
Na 6.648 0.002 9.313
Na 6.648 3.300 9.313
Na 8.194 4.953 6.707
Mn 3.117 4.953 3.798
Mn 3.038 4.953 9.101
Mn 5.774 1.651 1.454
Mn 5.695 1.651 6.757
P 3.700 1.651 4.220
P 3.631 1.651 9.484
P 5.181 4.953 1.071
P 5.112 4.953 6.335
C 0.511 4.953 4.118
C 0.435 4.953 9.296
C 8.377 1.651 1.258
C 8.301 1.651 6.437
O 0.617 1.651 1.333
O 0.549 1.651 6.357
O 1.149 4.953 2.980
O 1.139 4.953 8.168
O 1.121 4.953 10.385
O 1.241 4.953 5.207
O 2.835 0.415 3.825
O 2.835 2.887 3.825
O 2.819 0.391 9.082
O 2.819 2.911 9.082
O 3.782 4.953 1.735
O 3.740 4.953 7.024
O 3.898 1.651 5.781
O 4.014 1.651 0.497
O 4.798 4.953 10.058
O 4.914 4.953 4.774
O 5.073 1.651 3.530
O 5.030 1.651 8.820
O 5.994 3.693 1.473
O 5.994 6.212 1.473
O 5.977 3.716 6.730
O 5.977 6.189 6.730
O 7.571 1.651 5.348
O 7.691 1.651 0.170
O 7.673 1.651 2.386
O 7.664 1.651 7.575
O 8.263 4.953 4.198
O 8.195 4.953 9.222
```

---

[3]
The following is a simulated powder XRD pattern of Na5Mn2P2C2O14. It was derived from a structure optimized by DFT (PBE+U), using Cu Kα X-rays.
Intensities are scaled so that the largest is 100.

Principal peaks in the range 2θ = 5–70°, by intensity:
2θ/deg, Rel. int., index
9.83, 100, 1 0 0
34.25, 70, 2 0 -4
33.30, 64, 2 2 0
26.55, 56, 0 2 0
48.75, 44, 4 2 0
25.90, 33, 1 0 2
33.14, 33, 0 2 2
16.47, 32, 1 1 0
54.67, 22, 0 4 0
23.83, 16, 2 1 -2

Structure:
```
50
Lattice="10.333 0.000 0.000 0.000 6.716 0.000 -5.151 0.000 9.114" Properties=species:S:1:pos:R:3 pbc="T T T"
Na -1.338 1.679 3.848
Na 1.278 0.005 2.166
Na 1.278 3.352 2.166
Na -1.263 0.049 6.898
Na -1.263 3.309 6.898
Na 6.445 3.406 2.216
Na 6.445 6.667 2.216
Na 3.904 3.363 6.948
Na 3.904 6.710 6.948
Na 6.520 5.037 5.267
Mn 0.752 5.037 5.178
Mn 3.339 5.037 0.614
Mn 1.843 1.679 8.500
Mn 4.430 1.679 3.937
P 1.417 1.679 5.100
P 4.027 1.679 0.553
P 1.155 5.037 8.562
P 3.765 5.037 4.015
C -1.407 5.037 3.646
C -3.897 5.037 8.162
C 9.079 1.679 0.953
C 6.589 1.679 5.469
O -0.176 1.679 1.637
O -2.638 1.679 6.120
O -1.453 5.037 4.969
O 1.263 5.037 0.359
O -0.235 5.037 3.099
O -2.730 5.037 7.588
O 0.468 0.443 5.043
O 0.468 2.915 5.043
O 3.134 0.414 0.484
O 3.134 2.944 0.484
O 0.265 5.037 7.299
O 2.884 5.037 2.740
O 2.340 1.679 3.833
O -0.170 1.679 8.400
O 5.352 5.037 0.715
O 2.842 5.037 5.281
O 2.298 1.679 6.375
O 4.917 1.679 1.815
O 2.048 3.771 8.630
O 2.048 6.302 8.630
O 4.714 3.801 4.072
O 4.714 6.273 4.072
O 7.912 1.679 1.527
O 5.417 1.679 6.015
O 3.919 1.679 8.755
O 6.635 1.679 4.145
O 7.820 5.037 2.994
O 5.358 5.037 7.478
```

---

[4]
The following is a simulated powder XRD pattern of NaMnPCO7. It was derived from a structure optimized by DFT (PBE+U), using Cu Kα X-rays.
Intensities are scaled so that the largest is 100.

Principal peaks in the range 2θ = 5–70°, by intensity:
2θ/deg, Rel. int., index
9.56, 100, 0 1 0
28.66, 32, 2 0 0
25.09, 26, 0 1 2
19.94, 23, 0 2 -2
16.95, 20, 1 -1 0
17.37, 18, 1 1 0
22.22, 18, 1 -1 2
19.11, 17, 0 0 2
34.34, 17, 0 2 -4
24.72, 12, 1 2 -2

Structure:
```
44
Lattice="6.232 0.000 0.000 -0.241 10.408 0.000 -0.012 -4.792 9.290" Properties=species:S:1:pos:R:3 pbc="T T T"
Na 0.000 0.000 0.000
Na 0.004 -2.378 4.650
Na 3.085 3.015 4.833
Na 5.576 5.432 0.185
Mn 1.209 3.439 1.835
Mn 1.204 1.042 6.484
Mn 4.290 -2.795 7.700
Mn 4.316 -0.398 3.050
P 1.194 -1.926 7.834
P 1.210 0.471 3.184
P 4.328 2.567 1.702
P 4.352 0.173 6.349
C 1.171 5.354 3.317
C 1.227 2.958 7.967
C 4.159 8.101 1.566
C 4.229 5.719 6.211
O -0.003 -2.918 7.710
O 0.023 -0.529 3.041
O 1.144 1.489 2.007
O 1.140 -0.910 6.655
O 1.151 -1.159 9.166
O 1.207 1.230 4.520
O 1.150 5.414 1.998
O 1.121 6.317 4.079
O 1.148 3.923 8.726
O 1.218 1.682 8.356
O 1.252 4.080 3.705
O 1.302 3.018 6.650
O 2.399 -2.879 7.693
O 2.426 -0.474 3.047
O 3.111 3.503 1.879
O 3.128 1.122 6.388
O 4.107 8.035 2.883
O 4.130 9.378 1.179
O 4.137 5.640 7.524
O 4.317 -0.851 7.520
O 4.361 1.810 0.366
O 4.164 6.994 5.829
O 4.241 7.142 0.800
O 4.351 1.546 2.876
O 4.467 -0.570 5.010
O 4.366 4.765 5.442
O 5.516 3.571 1.814
O 5.531 1.158 6.606
```

---

Question: Number 3 is which compound?
Answer: Na5Mn2P2C2O14